Theoretical X-ray diffraction stick pattern
Compound: Na2Pr3Hg7
Radiation: Cu Ka
Structure: a structure optimized by DFT (GGA-PBE)
Kinematic intensities with the Lorentz-polarization factor, no thermal factor.

Main lines, by intensity (5 to 70 degrees two-theta):
h k l, 2theta, intensity
1 7 1, 35.57, 100
1 5 1, 30.22, 41
0 0 2, 33.08, 40
2 0 0, 33.90, 39
2 0 2, 48.09, 28
1 7 3, 60.71, 22
3 7 1, 61.74, 20
0 2 0, 7.46, 17

Crystal structure
```
data_Na2Pr3Hg7
_chemical_formula_sum 'Na4 Pr6 Hg14'
_symmetry_space_group_name_H-M 'C m m m'
_symmetry_Int_Tables_number 65
_symmetry_space_group_name_Hall '-C 2 2'
_cell_length_a 5.289
_cell_length_b 23.712
_cell_length_c 5.416
_cell_angle_alpha 90.00
_cell_angle_beta 90.00
_cell_angle_gamma 90.00
loop_
_atom_site_label
_atom_site_type_symbol
_atom_site_fract_x
_atom_site_fract_y
_atom_site_fract_z
Na1 Na 0.000 0.145 0.000
Pr1 Pr 0.000 0.336 0.500
Pr2 Pr 0.000 0.500 0.500
Hg1 Hg 0.000 0.000 0.000
Hg2 Hg 0.000 0.082 0.500
Hg3 Hg 0.000 0.273 0.000
Hg4 Hg 0.000 0.420 0.000
```



Theoretical X-ray diffraction stick pattern
Compound: Na3PrHg4
Radiation: Cu Ka
Structure: a structure optimized by DFT (GGA-PBE)
Kinematic intensities with the Lorentz-polarization factor, no thermal factor.

Main lines, by intensity (5 to 70 degrees two-theta):
h k l, 2theta, intensity
1 1 0, 33.73, 100
1 0 4, 23.68, 39
3 0 0, 60.33, 38
2 0 8, 48.45, 18
2 1 4, 54.61, 17
0 2 4, 41.63, 13
0 0 3, 10.20, 5
0 1 2, 20.47, 3

Crystal structure
```
data_Na3PrHg4
_chemical_formula_sum 'Na9 Pr3 Hg12'
_symmetry_space_group_name_H-M 'R -3 m'
_symmetry_Int_Tables_number 166
_symmetry_space_group_name_Hall '-R 3 2"'
_cell_length_a 5.3160
_cell_length_b 5.3160
_cell_length_c 26.0225
_cell_angle_alpha 90.00
_cell_angle_beta 90.00
_cell_angle_gamma 120.00
loop_
_atom_site_label
_atom_site_type_symbol
_atom_site_fract_x
_atom_site_fract_y
_atom_site_fract_z
Na1 Na 0.0000 0.0000 0.0000
Na2 Na 0.0000 0.0000 0.2531
Pr1 Pr 0.0000 0.0000 0.5000
Hg1 Hg 0.0000 0.0000 0.1265
Hg2 Hg 0.0000 0.0000 0.3777
```



Theoretical X-ray diffraction stick pattern
Compound: NaTbPrHg
Radiation: Cu Ka
Structure: a structure optimized by DFT (GGA-PBE)
Kinematic intensities with the Lorentz-polarization factor, no thermal factor.

Main lines, by intensity (5 to 70 degrees two-theta):
h k l, 2theta, intensity
2 2 0, 32.82, 100
4 2 2, 58.59, 38
1 1 1, 19.92, 25
4 0 0, 47.09, 18
3 1 1, 38.69, 15
4 4 0, 68.80, 12
3 3 1, 51.61, 7
5 1 1, 62.52, 5

Crystal structure
```
data_NaTbPrHg
_chemical_formula_sum 'Na4 Tb4 Pr4 Hg4'
_symmetry_space_group_name_H-M 'F -4 3 m'
_symmetry_Int_Tables_number 216
_symmetry_space_group_name_Hall 'F -4 2 3'
_cell_length_a 7.719
_cell_length_b 7.719
_cell_length_c 7.719
_cell_angle_alpha 90.00
_cell_angle_beta 90.00
_cell_angle_gamma 90.00
loop_
_atom_site_label
_atom_site_type_symbol
_atom_site_fract_x
_atom_site_fract_y
_atom_site_fract_z
Na1 Na 0.000 0.000 0.000
Tb1 Tb 0.250 0.250 0.250
Pr1 Pr 0.250 0.250 0.750
Hg1 Hg 0.000 0.000 0.500
```



Theoretical X-ray diffraction stick pattern
Compound: NaTb2PrHg4
Radiation: Cu Ka
Structure: a structure optimized by DFT (GGA-PBE)
Kinematic intensities with the Lorentz-polarization factor, no thermal factor.

Main lines, by intensity (5 to 70 degrees two-theta):
h k l, 2theta, intensity
0 1 8, 33.45, 100
1 1 0, 34.18, 98
1 2 8, 60.73, 37
2 0 8, 48.58, 36
3 0 0, 61.20, 18
1 0 16, 59.31, 18
1 0 4, 23.74, 15
0 1 5, 25.81, 6

Crystal structure
```
data_NaTb2PrHg4
_chemical_formula_sum 'Na3 Tb6 Pr3 Hg12'
_symmetry_space_group_name_H-M 'R -3 m'
_symmetry_Int_Tables_number 166
_symmetry_space_group_name_Hall '-R 3 2"'
_cell_length_a 5.2459
_cell_length_b 5.2459
_cell_length_c 26.5400
_cell_angle_alpha 90.00
_cell_angle_beta 90.00
_cell_angle_gamma 120.00
loop_
_atom_site_label
_atom_site_type_symbol
_atom_site_fract_x
_atom_site_fract_y
_atom_site_fract_z
Na1 Na 0.0000 0.0000 0.0000
Tb1 Tb 0.0000 0.0000 0.2555
Pr1 Pr 0.0000 0.0000 0.5000
Hg1 Hg 0.0000 0.0000 0.1206
Hg2 Hg 0.0000 0.0000 0.3741
```



Theoretical X-ray diffraction stick pattern
Compound: Na2Hg2Pt
Radiation: Cu Ka
Structure: a structure optimized by DFT (GGA-PBE)
Kinematic intensities with the Lorentz-polarization factor, no thermal factor.

Main lines, by intensity (5 to 70 degrees two-theta):
h k l, 2theta, intensity
0 2 0, 13.14, 100
1 2 1, 24.91, 72
1 1 2, 35.51, 48
2 3 1, 38.17, 37
1 4 1, 34.07, 34
0 4 2, 41.82, 30
1 5 0, 36.20, 30
3 1 0, 43.18, 28

Crystal structure
```
data_Na2Hg2Pt
_chemical_formula_sum 'Na8 Hg8 Pt4'
_symmetry_space_group_name_H-M 'I b a m'
_symmetry_Int_Tables_number 72
_symmetry_space_group_name_Hall '-I 2 2c'
_cell_length_a 6.363
_cell_length_b 13.473
_cell_length_c 5.629
_cell_angle_alpha 90.00
_cell_angle_beta 90.00
_cell_angle_gamma 90.00
loop_
_atom_site_label
_atom_site_type_symbol
_atom_site_fract_x
_atom_site_fract_y
_atom_site_fract_z
Na1 Na 0.191 0.171 0.000
Hg1 Hg 0.164 0.406 0.000
Pt1 Pt 0.000 0.000 0.250
```



Theoretical X-ray diffraction stick pattern
Compound: Na2HgPt
Radiation: Cu Ka
Structure: a structure optimized by DFT (GGA-PBE)
Kinematic intensities with the Lorentz-polarization factor, no thermal factor.

Main lines, by intensity (5 to 70 degrees two-theta):
h k l, 2theta, intensity
1 0 2, 35.41, 100
0 0 2, 19.47, 68
1 0 0, 29.29, 50
1 1 0, 41.90, 32
1 1 2, 46.59, 30
1 0 4, 49.95, 26
1 1 4, 58.96, 22
0 0 4, 39.53, 18

Crystal structure
```
data_Na2HgPt
_chemical_formula_sum 'Na2 Hg1 Pt1'
_symmetry_space_group_name_H-M 'P 4/m m m'
_symmetry_Int_Tables_number 123
_symmetry_space_group_name_Hall '-P 4 2'
_cell_length_a 3.049
_cell_length_b 3.049
_cell_length_c 9.120
_cell_angle_alpha 90.00
_cell_angle_beta 90.00
_cell_angle_gamma 90.00
loop_
_atom_site_label
_atom_site_type_symbol
_atom_site_fract_x
_atom_site_fract_y
_atom_site_fract_z
Na1 Na 0.000 0.000 0.221
Hg1 Hg 0.500 0.500 0.500
Pt1 Pt 0.500 0.500 0.000
```